# 1
Theoretical XRD peak list
Compound: Er5Bi2Rh
Radiation: Cu Kα (weighted mean of Kα1 and Kα2)
Structure: a crystal structure in Alexandria, relaxed with PBE
Kinematic intensities with the Lorentz-polarization factor, no thermal factor.

Structure:
```
Er5Bi2Rh
1.0
2.7661 -7.6435 0.0000
2.7661 7.6435 0.0000
0.0000 0.0000 14.7929
Er Bi Rh
10 4 2
Cartesian
2.7661 6.8677 9.2780 Er
2.7661 6.8677 12.9114 Er
2.7661 3.3460 8.9858 Er
2.7661 3.3460 13.2036 Er
2.7661 3.0460 3.6982 Er
2.7661 -3.0460 11.0947 Er
2.7661 -3.3460 1.5894 Er
2.7661 -3.3460 5.8071 Er
2.7661 -6.8677 1.8816 Er
2.7661 -6.8677 5.5149 Er
2.7661 5.4450 0.9007 Bi
2.7661 5.4450 6.4957 Bi
2.7661 -5.4450 8.2972 Bi
2.7661 -5.4450 13.8922 Bi
2.7661 4.9711 11.0947 Rh
2.7661 -4.9711 3.6982 Rh
```

Top 10 peaks for 10 to 80 degrees two-theta, sorted by position:
2θ (°), Rel. int.
11.58, 52
17.04, 100
21.45, 66
29.58, 91
32.37, 85
34.05, 45
34.89, 38
38.28, 86
39.16, 29
44.41, 56

=====

# 2
Theoretical XRD peak list
Compound: Er4BiRh2
Radiation: Cu Kα (weighted mean of Kα1 and Kα2)
Structure: a crystal structure in Alexandria, relaxed with PBE
Kinematic intensities with the Lorentz-polarization factor, no thermal factor.

Structure:
```
Er4BiRh2
1.0
4.2891 -7.3976 0.0000
4.2891 7.3976 0.0000
-4.2203 0.0000 5.4590
Er Bi Rh
8 2 4
Cartesian
2.1789 7.3338 2.7295 Er
0.7774 3.0692 1.5745 Er
4.3196 4.1667 0.8999 Er
0.8001 1.2067 4.6076 Er
-1.3327 -3.0692 4.3040 Er
2.9102 -1.2067 1.8782 Er
2.2095 -4.1667 3.6293 Er
4.2891 -7.3338 0.0000 Er
3.6339 1.7014 2.7031 Bi
1.5238 -1.7014 5.4326 Bi
0.3422 4.9196 3.7266 Rh
2.4815 1.1813 0.0392 Rh
0.3714 -1.1813 2.7687 Rh
2.4524 -4.9196 0.9971 Rh
```

Top 10 peaks for 10 to 80 degrees two-theta, sorted by position:
2θ (°), Rel. int.
27.41, 15
29.20, 33
32.20, 43
32.41, 36
32.84, 36
33.03, 100
35.04, 28
36.16, 46
40.83, 27
44.93, 22

=====

# 3
Theoretical XRD peak list
Compound: Er4Bi8Rh3
Radiation: Cu Kα (weighted mean of Kα1 and Kα2)
Structure: a crystal structure in Alexandria, relaxed with PBE
Kinematic intensities with the Lorentz-polarization factor, no thermal factor.

Structure:
```
Er4Bi8Rh3
1.0
4.6084 0.0000 0.0000
0.0000 4.6084 0.0000
0.0000 0.0000 18.4776
Er Bi Rh
4 8 3
Cartesian
0.0000 2.3042 1.9735 Er
0.0000 2.3042 11.2562 Er
2.3042 0.0000 7.2214 Er
2.3042 0.0000 16.5041 Er
0.0000 0.0000 4.5942 Bi
0.0000 0.0000 13.8834 Bi
0.0000 2.3042 7.6221 Bi
0.0000 2.3042 17.0279 Bi
2.3042 0.0000 1.4497 Bi
2.3042 0.0000 10.8555 Bi
2.3042 2.3042 4.5536 Bi
2.3042 2.3042 13.9240 Bi
0.0000 0.0000 0.0000 Rh
0.0000 0.0000 9.2388 Rh
2.3042 2.3042 9.2388 Rh
```

Top 10 peaks for 10 to 80 degrees two-theta, sorted by position:
2θ (°), Rel. int.
29.03, 59
33.66, 100
39.08, 55
48.31, 13
49.40, 23
53.45, 10
56.46, 24
57.32, 10
64.72, 11
67.38, 28

=====

# 4
Theoretical XRD peak list
Compound: Er7Bi2Ru2
Radiation: Cu Kα (weighted mean of Kα1 and Kα2)
Structure: a crystal structure in Alexandria, relaxed with PBE
Kinematic intensities with the Lorentz-polarization factor, no thermal factor.

Structure:
```
Er7Bi2Ru2
1.0
-1.9711 8.1183 4.6239
1.9711 -8.1183 4.6239
1.9711 8.1183 -4.6239
Er Bi Ru
7 2 2
Cartesian
0.0000 0.0000 0.0000 Er
1.9711 5.9406 -0.7721 Er
1.9711 2.9756 1.1215 Er
0.0000 2.1777 3.8518 Er
0.0000 5.5576 2.3576 Er
0.0000 10.6790 2.3576 Er
0.0000 5.1427 5.7453 Er
1.9711 0.0000 2.4146 Bi
0.0000 0.0000 6.1703 Bi
1.9711 -4.1922 3.9967 Ru
1.9711 4.1922 3.9967 Ru
```

Top 10 peaks for 10 to 80 degrees two-theta, sorted by position:
2θ (°), Rel. int.
26.93, 12
28.00, 15
30.30, 31
33.12, 100
33.45, 53
34.17, 43
37.02, 13
38.70, 23
46.05, 24
58.10, 22

=====

# 5
Theoretical XRD peak list
Compound: Er2BiS
Radiation: Cu Kα (weighted mean of Kα1 and Kα2)
Structure: a crystal structure in Alexandria, relaxed with PBE
Kinematic intensities with the Lorentz-polarization factor, no thermal factor.

Structure:
```
Er2BiS
1.0
4.1216 0.0000 0.0000
-2.0608 3.5694 0.0000
0.0000 0.0000 20.6824
Er Bi S
6 3 3
Cartesian
0.0000 0.0000 4.9221 Er
0.0000 0.0000 15.7603 Er
0.0000 2.3796 8.8661 Er
0.0000 2.3796 18.7104 Er
2.0608 1.1898 1.9720 Er
2.0608 1.1898 11.8163 Er
0.0000 0.0000 0.0000 Bi
0.0000 2.3796 13.7883 Bi
2.0608 1.1898 6.8941 Bi
0.0000 0.0000 10.3412 S
0.0000 2.3796 3.4471 S
2.0608 1.1898 17.2353 S
```

Top 10 peaks for 10 to 80 degrees two-theta, sorted by position:
2θ (°), Rel. int.
25.32, 20
30.43, 100
33.15, 23
43.21, 33
43.94, 39
54.38, 20
60.33, 14
63.32, 11
71.34, 11
72.39, 17

=====

# 6
Theoretical XRD peak list
Compound: Er6BiSe3S2
Radiation: Cu Kα (weighted mean of Kα1 and Kα2)
Structure: a crystal structure in Alexandria, relaxed with PBE
Kinematic intensities with the Lorentz-polarization factor, no thermal factor.

Structure:
```
Er6BiSe3S2
1.0
8.8480 -2.0249 0.0000
8.8480 2.0249 0.0000
-1.9265 0.0000 7.9210
Er Bi Se S
6 1 3 2
Cartesian
-0.3153 0.0000 2.1748 Er
4.0388 0.0000 7.0087 Er
4.9817 0.0000 3.3878 Er
10.7876 0.0000 4.5332 Er
11.7306 0.0000 0.9123 Er
16.0847 0.0000 5.7462 Er
8.8480 0.0000 0.0000 Bi
1.2462 0.0000 6.6163 Se
7.8847 0.0000 3.9605 Se
14.5232 0.0000 1.3047 Se
2.3571 0.0000 2.7020 S
13.4123 0.0000 5.2190 S
```

Top 10 peaks for 10 to 80 degrees two-theta, sorted by position:
2θ (°), Rel. int.
26.95, 13
31.16, 100
44.45, 11
44.56, 25
44.76, 34
55.14, 7
55.55, 17
64.92, 7
73.64, 6
73.96, 9

=====

# 7
Theoretical XRD peak list
Compound: Er4BiSe2S
Radiation: Cu Kα (weighted mean of Kα1 and Kα2)
Structure: a crystal structure in Alexandria, relaxed with PBE
Kinematic intensities with the Lorentz-polarization factor, no thermal factor.

Structure:
```
Er4BiSe2S
1.0
7.0719 0.0000 0.0000
0.0000 4.0908 0.0000
-2.3648 0.0000 6.7944
Er Bi Se S
4 1 2 1
Cartesian
1.1816 0.0000 1.4982 Er
-0.0027 2.0454 5.2758 Er
4.7097 2.0454 1.5186 Er
3.5255 0.0000 5.2962 Er
2.3535 2.0454 3.3972 Bi
-1.1824 0.0000 3.3972 Se
0.0000 2.0454 0.0000 Se
3.5359 0.0000 0.0000 S
```

Top 10 peaks for 10 to 80 degrees two-theta, sorted by position:
2θ (°), Rel. int.
26.66, 9
30.76, 100
33.53, 10
43.78, 34
44.33, 38
54.89, 13
61.08, 7
64.07, 11
72.34, 13
73.12, 11

=====

# 8
Theoretical XRD peak list
Compound: ErTl3Bi3S8
Radiation: Cu Kα (weighted mean of Kα1 and Kα2)
Structure: a crystal structure in Alexandria, relaxed with PBE
Kinematic intensities with the Lorentz-polarization factor, no thermal factor.

Structure:
```
ErTl3Bi3S8
1.0
7.0670 -4.0840 0.0000
7.0670 4.0840 0.0000
-4.6998 0.0000 7.2645
Er Tl Bi S
1 3 3 8
Cartesian
0.0000 0.0000 0.0000 Er
-2.3499 0.0000 3.6323 Tl
1.1836 2.0420 3.6323 Tl
1.1836 -2.0420 3.6323 Tl
3.5335 2.0420 0.0000 Bi
3.5335 -2.0420 0.0000 Bi
7.0670 0.0000 0.0000 Bi
2.2851 0.0000 1.5228 S
5.9260 2.1049 1.5216 S
3.5081 2.1049 5.7429 S
0.0101 0.0000 5.6644 S
9.4240 0.0000 1.6002 S
5.9260 -2.1049 1.5216 S
3.5081 -2.1049 5.7429 S
7.1490 0.0000 5.7417 S
```

Top 10 peaks for 10 to 80 degrees two-theta, sorted by position:
2θ (°), Rel. int.
24.51, 26
26.51, 63
30.13, 100
41.86, 39
44.38, 35
49.11, 14
51.35, 24
54.58, 19
62.65, 12
72.89, 16

=====

# 9
Theoretical XRD peak list
Compound: YErBiS2
Radiation: Cu Kα (weighted mean of Kα1 and Kα2)
Structure: a crystal structure in Alexandria, relaxed with PBE
Kinematic intensities with the Lorentz-polarization factor, no thermal factor.

Structure:
```
YErBiS2
1.0
4.5039 0.0000 0.0000
0.0000 4.5039 0.0000
0.0000 0.0000 13.6577
Y Er Bi S
2 2 2 4
Cartesian
0.0000 0.0000 0.0000 Y
2.2519 2.2519 6.8289 Y
0.0000 0.0000 9.6426 Er
2.2519 2.2519 2.8138 Er
0.0000 0.0000 4.8254 Bi
2.2519 2.2519 11.6542 Bi
0.0000 2.2519 1.4379 S
0.0000 2.2519 8.2667 S
2.2519 0.0000 1.4379 S
2.2519 0.0000 8.2667 S
```

Top 10 peaks for 10 to 80 degrees two-theta, sorted by position:
2θ (°), Rel. int.
27.86, 100
28.02, 38
30.98, 18
38.55, 13
40.04, 27
49.20, 23
49.48, 42
65.50, 16
79.36, 11
79.58, 11

=====

# 10
Theoretical XRD peak list
Compound: Er3BiSb2
Radiation: Cu Kα (weighted mean of Kα1 and Kα2)
Structure: a crystal structure in Alexandria, relaxed with PBE
Kinematic intensities with the Lorentz-polarization factor, no thermal factor.

Structure:
```
Er3BiSb2
1.0
3.7979 -6.5733 0.0000
3.7979 6.5733 0.0000
-2.5254 0.0000 7.1492
Er Bi Sb
6 2 4
Cartesian
1.8989 3.2867 0.0000 Er
0.5876 1.1228 3.5632 Er
-0.6751 -1.1228 7.1378 Er
0.6362 -3.2867 3.5746 Er
5.7454 1.1228 0.0114 Er
4.4827 -1.1228 3.5859 Er
3.1665 1.0743 1.7873 Bi
1.9038 -1.0743 5.3619 Bi
3.1665 5.4740 1.7873 Sb
1.9038 3.2631 5.3619 Sb
3.1665 -3.2631 1.7873 Sb
1.9038 -5.4740 5.3619 Sb
```

Top 10 peaks for 10 to 80 degrees two-theta, sorted by position:
2θ (°), Rel. int.
14.08, 1
18.33, 1
24.82, 1
28.81, 100
41.20, 77
51.06, 27
59.69, 13
67.61, 35
75.08, 20
75.17, 7

=====

# 11
Theoretical XRD peak list
Compound: Er3Bi2Sb
Radiation: Cu Kα (weighted mean of Kα1 and Kα2)
Structure: a crystal structure in Alexandria, relaxed with PBE
Kinematic intensities with the Lorentz-polarization factor, no thermal factor.

Structure:
```
Er3Bi2Sb
1.0
4.4112 0.0000 0.0000
0.0000 6.2387 0.0000
0.0000 0.0000 13.2519
Er Bi Sb
6 4 2
Cartesian
0.0000 0.0000 0.0000 Er
0.0000 0.0000 4.4725 Er
0.0000 0.0000 8.7794 Er
2.2056 3.1193 2.1534 Er
2.2056 3.1193 6.6259 Er
2.2056 3.1193 11.0984 Er
0.0000 3.1193 4.3997 Bi
0.0000 3.1193 8.8522 Bi
2.2056 0.0000 2.2262 Bi
2.2056 0.0000 11.0257 Bi
0.0000 3.1193 0.0000 Sb
2.2056 0.0000 6.6259 Sb
```

Top 10 peaks for 10 to 80 degrees two-theta, sorted by position:
2θ (°), Rel. int.
13.36, 1
15.70, 1
21.23, 1
28.20, 1
28.60, 100
40.90, 77
50.67, 28
59.22, 13
67.06, 36
74.47, 27

=====

# 12
Theoretical XRD peak list
Compound: Er4BiSb2
Radiation: Cu Kα (weighted mean of Kα1 and Kα2)
Structure: a crystal structure in Alexandria, relaxed with PBE
Kinematic intensities with the Lorentz-polarization factor, no thermal factor.

Structure:
```
Er4BiSb2
1.0
-4.7201 4.7926 4.7933
4.7201 -4.7926 4.7933
4.7201 4.7926 -4.7933
Er Bi Sb
8 2 4
Cartesian
0.5462 0.0038 0.6181 Er
6.5342 -1.7785 2.3993 Er
0.5462 -0.0038 4.1753 Er
6.5342 1.7785 2.3940 Er
-0.5462 4.7888 0.6181 Er
2.9060 3.0141 2.3940 Er
-0.5462 4.7964 4.1753 Er
2.9060 6.5711 2.3993 Er
3.5414 0.0000 2.3967 Bi
1.1787 0.0000 7.1900 Bi
0.0000 7.1889 2.3928 Sb
2.3601 4.7919 4.7933 Sb
0.0000 2.3963 2.4005 Sb
2.3601 4.7933 0.0000 Sb
```

Top 10 peaks for 10 to 80 degrees two-theta, sorted by position:
2θ (°), Rel. int.
18.51, 39
26.30, 44
29.51, 50
29.89, 100
35.06, 77
35.19, 36
37.53, 41
44.45, 34
48.91, 26
66.14, 23

=====

# 13
Theoretical XRD peak list
Compound: ErThBiSb
Radiation: Cu Kα (weighted mean of Kα1 and Kα2)
Structure: a crystal structure in Alexandria, relaxed with PBE
Kinematic intensities with the Lorentz-polarization factor, no thermal factor.

Structure:
```
ErThBiSb
1.0
4.4813 0.0000 0.0000
-2.2406 3.8809 0.0000
0.0000 0.0000 21.8443
Er Th Bi Sb
3 3 3 3
Cartesian
0.0000 0.0000 0.0000 Er
0.0000 2.5873 14.5629 Er
2.2406 1.2936 7.2814 Er
0.0000 0.0000 10.7967 Th
0.0000 2.5873 3.5153 Th
2.2406 1.2936 18.0781 Th
0.0000 0.0000 5.4801 Bi
0.0000 2.5873 20.0430 Bi
2.2406 1.2936 12.7615 Bi
0.0000 0.0000 16.2283 Sb
0.0000 2.5873 8.9468 Sb
2.2406 1.2936 1.6654 Sb
```

Top 10 peaks for 10 to 80 degrees two-theta, sorted by position:
2θ (°), Rel. int.
28.21, 100
40.25, 39
40.39, 38
49.87, 21
50.11, 7
58.34, 13
65.94, 19
66.14, 17
73.22, 20
73.54, 6

=====

# 14
Theoretical XRD peak list
Compound: ErSc3Bi2
Radiation: Cu Kα (weighted mean of Kα1 and Kα2)
Structure: a crystal structure in Alexandria, relaxed with PBE
Kinematic intensities with the Lorentz-polarization factor, no thermal factor.

Structure:
```
ErSc3Bi2
1.0
4.3827 0.0000 0.0000
0.0000 4.3827 0.0000
0.0000 0.0000 8.1284
Er Sc Bi
1 3 2
Cartesian
0.0000 0.0000 0.0000 Er
0.0000 2.1913 2.7404 Sc
2.1913 0.0000 5.3880 Sc
2.1913 2.1913 0.0000 Sc
0.0000 2.1913 5.7576 Bi
2.1913 0.0000 2.3708 Bi
```

Top 10 peaks for 10 to 80 degrees two-theta, sorted by position:
2θ (°), Rel. int.
23.06, 99
30.88, 56
33.06, 31
36.46, 100
39.09, 23
41.20, 49
47.73, 31
53.80, 31
64.78, 28
71.99, 28